(1)
Starting from a structure optimized by DFT (PBE), the powder diffraction line list of GdHoTeC was computed for Cu Kα X-rays.

Structure:
a = 3.8454 Å, b = 3.8454 Å, c = 14.0857 Å
α = 90.00°, β = 90.00°, γ = 120.00°
Positions (direct):
Gd1 0.0000 0.0000 0.1584
Gd2 0.0000 0.0000 0.8416
Ho1 0.3333 0.6667 0.3455
Ho2 0.3333 0.6667 0.6545
Te1 0.0000 0.0000 0.5000
Te2 0.3333 0.6667 0.0000
C1 0.6667 0.3333 0.2536
C2 0.6667 0.3333 0.7464

Principal peaks in the range 2θ = 15–90°, by intensity:
| Position (°2θ) | I (rel.) | hkl |
| --- | --- | --- |
| 33.0 | 100 | 1 0 3 |
| 26.8 | 26 | 1 0 0 |
| 47.3 | 26 | 1 1 0 |
| 58.8 | 19 | 2 0 3 |
| 62.4 | 19 | 1 1 6 |
| 78.7 | 16 | 2 1 3 |
| 38.3 | 13 | 0 0 6 |
| 47.4 | 12 | 1 0 6 |
| 65.9 | 11 | 1 0 9 |
| 88.0 | 9 | 3 0 0 |

---

(2)
Starting from a structure optimized by DFT (PBE), the powder diffraction line list of Gd3HoTe2C2 was computed for Cu Kα X-rays.

Structure:
a = 3.8614 Å, b = 3.8614 Å, c = 14.1473 Å
α = 90.00°, β = 90.00°, γ = 120.00°
Positions (direct):
Gd1 0.0000 0.0000 0.0000
Gd2 0.0000 0.0000 0.3140
Gd3 0.3333 0.6667 0.5033
Ho1 0.3333 0.6667 0.8140
Te1 0.0000 0.0000 0.6608
Te2 0.3333 0.6667 0.1571
C1 0.6667 0.3333 0.4088
C2 0.6667 0.3333 0.9056

Principal peaks in the range 2θ = 15–90°, by intensity:
| Position (°2θ) | I (rel.) | hkl |
| --- | --- | --- |
| 32.8 | 100 | 0 1 3 |
| 47.1 | 38 | 1 1 0 |
| 26.7 | 26 | 1 0 0 |
| 58.6 | 19 | 2 0 3 |
| 62.1 | 19 | 1 1 6 |
| 78.3 | 16 | 1 2 3 |
| 38.2 | 13 | 0 0 6 |
| 65.6 | 11 | 0 1 9 |
| 87.5 | 9 | 3 0 0 |
| 84.6 | 5 | 2 0 9 |